This entry pairs a crystal structure of Nd6NiRu2I3 with its theoretical powder X-ray diffraction pattern. Radiation: a wavelength of 1.5418 Å. Structure: a crystal structure in Alexandria, relaxed with PBE.

The 10 most intense peaks (2θ from 5° to 70°), in order of rising 2θ:
two_theta	I/Imax
10.80	10
28.85	100
30.89	18
32.80	10
35.81	10
38.61	26
43.77	38
53.27	18
54.92	8
55.76	14

Crystal structure
abc: 7.1644 7.1644 8.5322
angles: 98.05 98.05 120.00
Element x y z (fractional)
Nd: 0.1019 0.4381 0.8145
Nd: 0.2253 0.2253 0.1850
Nd: 0.4381 0.1019 0.8145
Nd: 0.5619 0.8981 0.1855
Nd: 0.7747 0.7747 0.8150
Nd: 0.8981 0.5619 0.1855
Ni: 0.5000 0.5000 0.0000
Ru: 0.1667 0.8333 0.0000
Ru: 0.8333 0.1667 0.0000
I: 0.0000 0.0000 0.5000
I: 0.3324 0.6676 0.5000
I: 0.6676 0.3324 0.5000

***

This entry pairs a crystal structure of Pr2Dy3Au4 with its theoretical powder X-ray diffraction pattern. Radiation: a wavelength of 1.5418 Å. Structure: a crystal structure in Alexandria, relaxed with PBE.

The 10 most intense peaks (2θ from 5° to 70°), in order of rising 2θ:
two_theta	I/Imax
29.50	45
30.53	56
34.52	100
36.85	29
38.58	37
39.65	41
47.68	19
51.39	20
63.80	23
66.07	15

Crystal structure
abc: 9.5484 9.5484 7.6125
angles: 90.00 90.00 136.27
Element x y z (fractional)
Pr: 0.0966 0.9034 0.9204
Pr: 0.4034 0.5966 0.4204
Pr: 0.5966 0.4034 0.5796
Pr: 0.9034 0.0966 0.0796
Dy: 0.0000 0.0000 0.5000
Dy: 0.0142 0.4858 0.7500
Dy: 0.4858 0.0142 0.2500
Dy: 0.5000 0.5000 0.0000
Dy: 0.5142 0.9858 0.7500
Dy: 0.9858 0.5142 0.2500
Au: 0.1693 0.8307 0.5296
Au: 0.1840 0.3160 0.7500
Au: 0.3160 0.1840 0.2500
Au: 0.3307 0.6693 0.0296
Au: 0.6693 0.3307 0.9704
Au: 0.6840 0.8160 0.7500
Au: 0.8160 0.6840 0.2500
Au: 0.8307 0.1693 0.4704